CsTl2MoO4: theoretical powder diffractogram (λ = 1.5418 Å (Cu Kα)), based on DFT lattice parameters and positions (GGA+U).
No peak broadening, texture or thermal motion is included.

The 10 most intense peaks (2θ = 10–80°), most intense first:
(hkl)  2θ/deg  I/Imax
0 2 2  23.91  100.0
2 0 2  27.60  85.6
0 4 0  41.18  54.0
2 2 0  32.01  49.6
0 0 4  25.18  33.9
2 4 2  50.35  27.7
0 0 2  12.51  24.0
4 2 2  56.35  19.7
2 2 6  50.65  17.9
0 2 4  32.55  16.9

Atomic structure:
Cell lengths 7.2675, 8.7541, 14.1496 Å; angles 90.00, 90.00, 90.00 degrees
Space group Fmm2 (No. 42)
Asymmetric unit:
Cs  0.0000  0.0000  0.0000 [4 per cell]
Tl  0.2500  0.2500  0.2690 [8 per cell]
Mo  0.0000  0.0000  0.5879 [4 per cell]
O  0.0000  0.1633  0.5133 [8 per cell]
O  0.2095  0.0000  0.6602 [8 per cell]